Calculated PXRD pattern of DyPu2VN4 for Cu Kα, 1.54184 Å, from a cell relaxed with PBE.

Most intense lines, 5° ≤ 2θ ≤ 70°, by intensity:
2θ (°)  d [Å]  I (rel.)  hkl
31.8  2.817  100.0  1 1 2
27.3  3.263  88.7  0 2 3
38.9  2.313  70.6  1 3 2
31.2  2.863  54.9  0 4 0
47.6  1.911  37.0  1 1 5
30.0  2.978  32.8  0 0 4
14.9  5.957  30.1  0 0 2
36.6  2.456  29.1  1 3 1
53.0  1.728  27.1  1 3 5
50.7  1.799  21.8  1 5 2

```
data_DyPu2VN4
_chemical_formula_sum 'Dy4 Pu8 V4 N16'
_cell_length_a 3.330
_cell_length_b 11.454
_cell_length_c 11.913
_cell_angle_alpha 90.00
_cell_angle_beta 90.00
_cell_angle_gamma 90.00
_space_group_name_H-M_alt 'C m c m'
_space_group_IT_number 63
_space_group_name_Hall '-C 2c 2'
loop_
_atom_site_label
_atom_site_type_symbol
_atom_site_fract_x
_atom_site_fract_y
_atom_site_fract_z
_atom_site_occupancy
Dy1 Dy 0.000 0.099 0.250 1
Pu1 Pu 0.000 0.367 0.044 1
V1 V 0.000 0.165 0.750 1
N1 N 0.000 0.000 0.000 1
N2 N 0.000 0.270 0.631 1
N3 N 0.000 0.441 0.250 1
```